The following is a computed powder XRD pattern of TeMoWSeS2. It was derived from a DFT-relaxed cell (PBE, the Materials Project), using Cu Ka.

Structure:
Cell: 3.3039 3.3039 37.6547 Å, 90.00 90.00 120.00°
Space group P3m1 (No. 156)
Asymmetric unit:
Te 0.0000 0.0000 0.0000 [1 per cell]
Te 0.0000 0.0000 0.1015 [1 per cell]
Mo 0.0000 0.0000 0.8628 [1 per cell]
Mo 0.6667 0.3333 0.0508 [1 per cell]
W 0.0000 0.0000 0.2386 [1 per cell]
W 0.6667 0.3333 0.6750 [1 per cell]
Se 0.6667 0.3333 0.8182 [1 per cell]
Se 0.6667 0.3333 0.9074 [1 per cell]
S 0.0000 0.0000 0.6342 [1 per cell]
S 0.0000 0.0000 0.7158 [1 per cell]
S 0.6667 0.3333 0.1979 [1 per cell]
S 0.6667 0.3333 0.2794 [1 per cell]

Largest 10 diffraction maxima, by intensity, 2θ from 15° to 90°:
| 2theta | I_rel |
| --- | --- |
| 36.76 | 100 |
| 31.30 | 67 |
| 44.51 | 53 |
| 55.65 | 35 |
| 16.48 | 22 |
| 38.10 | 19 |
| 33.50 | 18 |
| 46.33 | 16 |
| 68.56 | 16 |
| 35.54 | 15 |